For CdFe2O3, a structure optimized by DFT (GGA+U) gives the computed X-ray diffraction stick pattern in this record (copper Kα).

Main lines, by angle (10 to 90 degrees two-theta):
hkl 0 0 2, d = 6.535 Å, I = 16
hkl 1 0 1, d = 3.198 Å, I = 15
hkl 1 0 3, d = 2.629 Å, I = 100
hkl 1 1 0, d = 2.332 Å, I = 83
hkl 0 0 6, d = 2.178 Å, I = 33
hkl 2 0 0, d = 1.649 Å, I = 26
hkl 1 1 6, d = 1.592 Å, I = 45
hkl 2 1 3, d = 1.397 Å, I = 28
hkl 1 0 9, d = 1.329 Å, I = 12
hkl 2 0 6, d = 1.315 Å, I = 22

Structure:
Cell lengths 3.298, 3.298, 13.070 Å; angles 90.00, 90.00, 90.00 degrees
Space group I4/mmm (No. 139)
One atom of each set of equivalent atoms:
Cd1 0.000 0.000 0.000 (multiplicity 2)
Fe1 0.000 0.000 0.331 (multiplicity 4)
O1 0.000 0.000 0.174 (multiplicity 4)
O2 0.000 0.000 0.500 (multiplicity 2)